SmZnAg4: simulated powder diffractogram (a wavelength of 1.5418 Å), based on a DFT-relaxed cell (GGA-PBE, Alexandria).
Intensities are scaled so that the largest is 100.

Peak list (6 most intense, 2θ = 10–80°, low angle first)
(hkl), two_theta, I/Imax
2 2 0, 32.19, 25.8
3 1 1, 37.94, 100.0
2 2 2, 39.69, 41.1
5 1 1, 61.23, 31.4
4 4 0, 67.34, 26.3
5 3 3, 79.98, 10.7

Atomic structure:
Unit cell a=7.866 b=7.866 c=7.866 alpha=90.00 beta=90.00 gamma=90.00
Space group F-43m (No. 216)
One atom of each set of equivalent atoms:
Sm: 0.000 0.000 0.000 x4
Zn: 0.250 0.250 0.250 x4
Ag: 0.124 0.124 0.624 x16